(1)
Computed powder X-ray diffraction pattern of CaEr4Zr4O14 for a wavelength of 1.5418 Å, from a crystal structure in Alexandria, relaxed with GGA-PBE.

Cell and atoms:
```
data_CaEr4Zr4O14
_chemical_formula_sum 'Ca1 Er4 Zr4 O14'
_symmetry_space_group_name_H-M 'P 1 2/m 1'
_symmetry_Int_Tables_number 10
_cell_length_a 7.139
_cell_length_b 4.119
_cell_length_c 11.236
_cell_angle_alpha 90.00
_cell_angle_beta 92.50
_cell_angle_gamma 90.00
loop_
_symmetry_equiv_pos_as_xyz
'x,y,z'
'-x,-y,-z'
'-x,y,-z'
'x,-y,z'
loop_
_atom_site_label
_atom_site_fract_x
_atom_site_fract_y
_atom_site_fract_z
Ca1 0.000 0.000 0.000
Er1 0.000 0.500 0.000
Er2 0.252 0.000 0.714
Er3 0.500 0.500 0.000
Zr1 0.000 0.500 0.500
Zr2 0.237 0.000 0.281
Zr3 0.500 0.500 0.500
O1 0.004 0.000 0.816
O2 0.036 0.000 0.404
O3 0.249 0.500 0.618
O4 0.251 0.500 0.374
O5 0.260 0.500 0.121
O6 0.390 0.000 0.888
O7 0.491 0.000 0.391
```

Largest 10 diffraction maxima, by intensity, 2θ from 10° to 80°:
| Position (°2θ) | I (rel.) |
| --- | --- |
| 26.8 | 100.0 |
| 29.1 | 47.5 |
| 30.3 | 42.2 |
| 33.2 | 39.3 |
| 44.0 | 24.5 |
| 47.5 | 23.2 |
| 45.9 | 22.1 |
| 23.8 | 18.4 |
| 31.9 | 17.5 |
| 53.6 | 16.9 |



(2)
Computed powder X-ray diffraction pattern of CaEr2Os for a wavelength of 1.5418 Å, from a crystal structure in Alexandria, relaxed with GGA-PBE.

Cell and atoms:
```
data_CaEr2Os
_chemical_formula_sum 'Ca3 Er6 Os3'
_symmetry_space_group_name_H-M 'R -3 m'
_symmetry_Int_Tables_number 166
_symmetry_space_group_name_Hall '-R 3 2"'
_cell_length_a 4.0804
_cell_length_b 4.0804
_cell_length_c 26.6105
_cell_angle_alpha 90.00
_cell_angle_beta 90.00
_cell_angle_gamma 120.00
loop_
_atom_site_label
_atom_site_fract_x
_atom_site_fract_y
_atom_site_fract_z
Ca1 0.0000 0.0000 0.0000
Er1 0.0000 0.0000 0.2185
Os1 0.0000 0.0000 0.5000
```

Largest 10 diffraction maxima, by intensity, 2θ from 10° to 80°:
| Position (°2θ) | I (rel.) |
| --- | --- |
| 28.6 | 100.0 |
| 34.7 | 62.5 |
| 44.4 | 44.7 |
| 45.6 | 29.1 |
| 45.4 | 23.4 |
| 54.8 | 22.1 |
| 42.5 | 20.9 |
| 53.7 | 17.4 |
| 57.5 | 15.0 |
| 72.1 | 14.3 |